Structure and computed PXRD pattern of ErSi2Rh3 (the PBE geometry in the Materials Project; Cu Kα, 1.54184 Å).
Intensities are scaled so that the largest is 100.

Peak list (10 most intense, 10° ≤ 2θ ≤ 90°, by angle)
2θ 30.66, I 99, hkl 1 0 1
2θ 37.71, I 100, hkl 2 0 0
2θ 40.91, I 83, hkl 1 1 1
2θ 45.29, I 18, hkl 2 0 1
2θ 49.47, I 21, hkl 0 0 2
2θ 56.85, I 35, hkl 2 1 1
2θ 63.80, I 64, hkl 2 0 2
2θ 68.08, I 24, hkl 2 2 0
2θ 76.49, I 14, hkl 3 1 1
2θ 88.67, I 25, hkl 2 2 2

Cell and atoms:
```
ErSi2Rh3
1.0
5.509 0.000 0.000
-2.754 4.771 0.000
0.000 0.000 3.685
Er Si Rh
1 2 3
direct
0.000 0.000 0.000 Er
0.333 0.667 0.000 Si
0.667 0.333 0.000 Si
0.000 0.500 0.500 Rh
0.500 0.000 0.500 Rh
0.500 0.500 0.500 Rh
```